No. 1
For Co3TeO8, DFT lattice parameters and positions (GGA+U) gives the simulated XRD peak list in this record (Cu Kα).

Atomic structure:
Lattice parameters (Å, degrees): 6.0314 6.1073 10.2192 73.99 89.76 60.52
Sites, in units of the cell vectors:
Co  0.0000  0.0000  0.0000
Co  0.0095  0.9936  0.4998
Co  0.2587  0.9975  0.2519
Co  0.4996  0.0030  0.9995
Co  0.5122  0.9891  0.5008
Co  0.7462  0.9928  0.7494
Te  0.2517  0.9839  0.7509
Te  0.7569  0.0053  0.2501
O  0.1046  0.8053  0.3658
O  0.1069  0.7942  0.8760
O  0.1350  0.1975  0.8787
O  0.1822  0.1537  0.3945
O  0.3274  0.8369  0.1111
O  0.3310  0.7797  0.6212
O  0.3924  0.1848  0.6320
O  0.4097  0.1985  0.1433
O  0.5900  0.7875  0.8623
O  0.6318  0.7955  0.3707
O  0.6736  0.1663  0.8894
O  0.6846  0.2068  0.3802
O  0.8428  0.8271  0.6048
O  0.8687  0.8004  0.1188
O  0.8902  0.2038  0.1227
O  0.9145  0.1888  0.6282

The 10 most intense peaks (15° ≤ 2θ ≤ 90°), sorted by position:
17.57 deg, d 5.047, I = 100, (0 1 0); 34.95 deg, d 2.567, I = 12, (2 1 2); 35.12 deg, d 2.555, I = 13, (2 1 -2); 35.58 deg, d 2.523, I = 6, (0 2 0); 35.68 deg, d 2.517, I = 11, (0 1 4); 36.62 deg, d 2.454, I = 8, (2 0 -2); 42.02 deg, d 2.150, I = 14, (2 0 2); 42.25 deg, d 2.139, I = 13, (2 2 -2); 42.83 deg, d 2.111, I = 13, (0 2 4); 60.70 deg, d 1.526, I = 7, (0 2 -4)

=====

No. 2
For Co3TeO8, DFT lattice parameters and positions (GGA+U) gives the simulated XRD peak list in this record (Cu Kα).

Atomic structure:
Lattice parameters (Å, degrees): 6.0089 6.0548 8.4875 88.47 89.98 89.99
Sites, in units of the cell vectors:
Co  0.0000  0.0000  0.0000
Co  0.0000  0.5000  0.5000
Co  0.2441  0.2485  0.7493
Co  0.5000  0.0000  0.0000
Co  0.5000  0.5000  0.5000
Co  0.7559  0.7515  0.2507
Te  0.2540  0.7509  0.2506
Te  0.7460  0.2491  0.7494
O  0.0152  0.5345  0.2573
O  0.0160  0.9681  0.2422
O  0.2555  0.1931  0.9754
O  0.2563  0.3060  0.5244
O  0.2677  0.7217  0.4833
O  0.2696  0.7793  0.0173
O  0.4934  0.5268  0.2745
O  0.4940  0.9734  0.2265
O  0.5060  0.0266  0.7735
O  0.5066  0.4732  0.7255
O  0.7304  0.2207  0.9827
O  0.7323  0.2783  0.5167
O  0.7437  0.6940  0.4756
O  0.7445  0.8069  0.0246
O  0.9840  0.0319  0.7578
O  0.9848  0.4655  0.7427

The 10 most intense peaks (15° ≤ 2θ ≤ 90°), sorted by position:
17.77 deg, d 4.991, I = 100, (0 1 1); 35.10 deg, d 2.557, I = 27, (2 -1 1); 35.39 deg, d 2.536, I = 12, (0 1 -3); 36.65 deg, d 2.452, I = 8, (2 0 2); 42.39 deg, d 2.132, I = 28, (2 -2 0); 42.62 deg, d 2.121, I = 14, (0 0 4); 46.29 deg, d 1.961, I = 7, (-2 1 3); 55.70 deg, d 1.650, I = 10, (-2 3 1); 62.33 deg, d 1.490, I = 8, (2 2 -4); 65.37 deg, d 1.428, I = 10, (2 1 -5)